1.
Diffraction record for Nd2Cd7. The XRD peak list is theoretical, not measured: it uses DFT lattice parameters and positions (GGA-PBE) and copper Kα.
Peak positions follow from Bragg's law for the DFT cell and can differ from measured ones.

```
data_Nd2Cd7
_chemical_formula_sum 'Nd12 Cd42'
_symmetry_space_group_name_H-M 'R -3 m'
_symmetry_Int_Tables_number 166
_symmetry_space_group_name_Hall '-R 3 2"'
_cell_length_a 5.9878
_cell_length_b 5.9878
_cell_length_c 43.2148
_cell_angle_alpha 90.00
_cell_angle_beta 90.00
_cell_angle_gamma 120.00
loop_
_atom_site_label
_atom_site_fract_x
_atom_site_fract_y
_atom_site_fract_z
Nd1 0.0000 0.0000 0.0513
Nd2 0.0000 0.0000 0.1499
Cd1 0.0000 0.0000 0.2778
Cd2 0.0000 0.0000 0.3900
Cd3 0.0000 0.0000 0.5000
Cd4 0.0000 0.5000 0.0000
Cd5 0.0061 0.5030 0.8881
```

The 12 most intense peaks (5 to 70 degrees two-theta), by angle:
2θ (°)	Rel. int.	hkl
26.86	14	1 0 10
28.50	14	0 1 11
29.84	27	1 1 0
34.66	27	0 2 1
34.85	8	2 0 2
35.33	100	1 1 9
37.47	27	0 0 18
37.63	10	0 2 7
38.51	24	2 0 8
39.48	9	0 1 17
56.59	25	0 3 9
61.99	24	2 2 0

***

2.
Diffraction record for CrB2Rh. The XRD peak list is theoretical, not measured: it uses DFT lattice parameters and positions (GGA-PBE) and copper Kα.
Peak positions follow from Bragg's law for the DFT cell and can differ from measured ones.

```
data_CrB2Rh
_chemical_formula_sum 'Cr4 B8 Rh4'
_symmetry_space_group_name_H-M 'F m -3 m'
_symmetry_Int_Tables_number 225
_symmetry_space_group_name_Hall '-F 4 2 3'
_cell_length_a 5.341
_cell_length_b 5.341
_cell_length_c 5.341
_cell_angle_alpha 90.00
_cell_angle_beta 90.00
_cell_angle_gamma 90.00
loop_
_atom_site_label
_atom_site_fract_x
_atom_site_fract_y
_atom_site_fract_z
Cr1 0.000 0.000 0.000
B1 0.250 0.250 0.250
Rh1 0.000 0.000 0.500
```

The 5 most intense peaks (5 to 70 degrees two-theta), by angle:
2θ (°)	Rel. int.	hkl
28.96	25	1 1 1
33.56	98	2 0 0
48.19	100	2 2 0
57.21	12	3 1 1
60.00	24	2 2 2

***

3.
Diffraction record for Tm6Ni5Ru. The XRD peak list is theoretical, not measured: it uses DFT lattice parameters and positions (GGA-PBE) and copper Kα.
Peak positions follow from Bragg's law for the DFT cell and can differ from measured ones.

```
data_Tm6Ni5Ru
_chemical_formula_sum 'Tm12 Ni10 Ru2'
_symmetry_space_group_name_H-M 'C m m m'
_symmetry_Int_Tables_number 65
_symmetry_space_group_name_Hall '-C 2 2'
_cell_length_a 4.739
_cell_length_b 14.192
_cell_length_c 6.609
_cell_angle_alpha 90.00
_cell_angle_beta 90.00
_cell_angle_gamma 90.00
loop_
_atom_site_label
_atom_site_fract_x
_atom_site_fract_y
_atom_site_fract_z
Tm1 0.000 0.000 0.250
Tm2 0.000 0.334 0.249
Ni1 0.000 0.165 0.000
Ni2 0.000 0.167 0.500
Ni3 0.000 0.500 0.500
Ru1 0.000 0.500 0.000
```

The 12 most intense peaks (5 to 70 degrees two-theta), by angle:
2θ (°)	Rel. int.	hkl
26.63	21	1 3 0
26.98	10	0 0 2
38.01	51	2 0 0
38.27	100	1 3 2
47.23	9	2 0 2
54.84	17	2 6 0
55.63	8	0 0 4
61.98	4	1 9 0
62.16	4	2 6 2
62.71	4	1 3 4
68.84	35	3 3 2
69.36	17	2 0 4

***

4.
Diffraction record for Cu4Se3Br. The XRD peak list is theoretical, not measured: it uses DFT lattice parameters and positions (GGA-PBE) and copper Kα.
Peak positions follow from Bragg's law for the DFT cell and can differ from measured ones.

```
data_Cu4Se3Br
_chemical_formula_sum 'Cu8 Se6 Br2'
_symmetry_space_group_name_H-M 'P m n 21'
_symmetry_Int_Tables_number 31
_symmetry_space_group_name_Hall 'P 2ac -2'
_cell_length_a 7.736
_cell_length_b 6.785
_cell_length_c 6.600
_cell_angle_alpha 90.00
_cell_angle_beta 90.00
_cell_angle_gamma 90.00
loop_
_atom_site_label
_atom_site_fract_x
_atom_site_fract_y
_atom_site_fract_z
Cu1 0.000 0.159 0.000
Cu2 0.000 0.810 0.538
Cu3 0.238 0.657 0.039
Se1 0.000 0.826 0.896
Se2 0.249 0.336 0.896
Br1 0.000 0.159 0.394
```

The 12 most intense peaks (5 to 70 degrees two-theta), by angle:
2θ (°)	Rel. int.	hkl
26.27	47	0 2 0
26.53	100	2 1 0
27.02	83	0 0 2
29.61	37	0 2 1
29.84	73	2 1 1
38.23	33	2 1 2
46.51	79	2 3 0
46.98	39	4 0 0
49.37	44	0 2 3
49.52	87	2 1 3
54.62	54	2 3 2
55.04	22	4 0 2